The following is a computed PXRD pattern of CaZrTlF7. It was derived from a PBE-relaxed structure, using Cu Kα X-rays.
Intensities are scaled so that the largest is 100.

Largest 10 diffraction maxima, low angle first, 2θ = 10–80°:
Position (°2θ), I_rel
14.9, 35.4
25.5, 100.0
25.9, 41.1
26.8, 47.8
36.7, 25.0
41.8, 17.1
44.9, 22.9
45.7, 18.4
47.1, 21.8
50.4, 16.9

Structure:
a b c (Å): 6.6599 6.6599 8.6444
angles (deg): 90.00 90.00 116.61
Positions (direct):
Ca (0.1901, 0.8099, 0.7500)
Ca (0.8099, 0.1901, 0.2500)
Zr (0.1936, 0.8064, 0.2500)
Zr (0.8064, 0.1936, 0.7500)
Tl (0.5000, 0.5000, 0.0000)
Tl (0.5000, 0.5000, 0.5000)
F (0.0112, 0.9888, 0.2500)
F (0.1506, 0.4368, 0.7500)
F (0.1725, 0.4764, 0.2500)
F (0.2016, 0.7984, 0.0130)
F (0.2016, 0.7984, 0.4870)
F (0.4368, 0.1506, 0.2500)
F (0.4764, 0.1725, 0.7500)
F (0.5236, 0.8275, 0.2500)
F (0.5632, 0.8494, 0.7500)
F (0.7984, 0.2016, 0.5130)
F (0.7984, 0.2016, 0.9870)
F (0.8275, 0.5236, 0.7500)
F (0.8494, 0.5632, 0.2500)
F (0.9888, 0.0112, 0.7500)